# 1
Calculated XRD peak list of LiMg4V3O12 for Cu Kα (λ = 1.5418 Å), from a cell relaxed with PBE+U.
Lines closer than 0.1° are merged.

```
data_LiMg4V3O12
_chemical_formula_sum 'Li4 Mg16 V12 O48'
_cell_length_a 6.9564
_cell_length_b 6.9564
_cell_length_c 19.1485
_cell_angle_alpha 90.00
_cell_angle_beta 90.00
_cell_angle_gamma 90.00
_symmetry_space_group_name_H-M 'I -4 2 d'
_symmetry_Int_Tables_number 122
_symmetry_space_group_name_Hall 'I -4 2bw'
loop_
_atom_site_label
_atom_site_fract_x
_atom_site_fract_y
_atom_site_fract_z
Li1 0.0000 0.0000 0.0000
Mg1 0.0000 0.0000 0.2747
Mg2 0.2424 0.2500 0.6250
V1 0.0000 0.0000 0.5000
V2 0.1500 0.7500 0.1250
O1 0.0108 0.2112 0.1942
O2 0.0408 0.2280 0.3510
O3 0.0529 0.2104 0.5456
```

Main lines, low angle first (10° ≤ 2θ ≤ 90°):
h k l, d_spacing, I/Imax
1 0 3, 4.703, 19
1 0 5, 3.355, 35
2 1 1, 3.071, 56
2 0 4, 2.814, 100
2 1 3, 2.796, 16
4 0 0, 1.739, 18
3 2 5, 1.723, 16
2 2 8, 1.715, 20

# 2
Calculated XRD peak list of LiMgVO4 for Cu Kα (λ = 1.5418 Å), from a cell relaxed with PBE+U.
Lines closer than 0.1° are merged.

```
data_LiMgVO4
_chemical_formula_sum 'Li4 Mg4 V4 O16'
_cell_length_a 5.7079
_cell_length_b 8.7143
_cell_length_c 6.3150
_cell_angle_alpha 90.00
_cell_angle_beta 90.00
_cell_angle_gamma 90.00
_symmetry_space_group_name_H-M 'C m c m'
_symmetry_Int_Tables_number 63
_symmetry_space_group_name_Hall '-C 2c 2'
loop_
_atom_site_label
_atom_site_fract_x
_atom_site_fract_y
_atom_site_fract_z
Li1 0.0000 0.1621 0.2500
Mg1 0.0000 0.5000 0.0000
V1 0.0000 0.1461 0.7500
O1 0.0000 0.2603 0.5292
O2 0.2455 0.0201 0.7500
```

Main lines, low angle first (10° ≤ 2θ ≤ 90°):
h k l, d_spacing, I/Imax
1 1 1, 3.809, 100
0 2 1, 3.586, 65
2 0 0, 2.854, 42
1 1 2, 2.634, 78
1 3 0, 2.589, 48
2 2 0, 2.387, 22
0 0 4, 1.579, 22
2 4 2, 1.518, 49

# 3
Calculated XRD peak list of Li3MgV8O16 for Cu Kα (λ = 1.5418 Å), from a cell relaxed with PBE+U.
Lines closer than 0.1° are merged.

```
data_Li3MgV8O16
_chemical_formula_sum 'Li6 Mg2 V16 O32'
_cell_length_a 10.3487
_cell_length_b 6.0450
_cell_length_c 10.3205
_cell_angle_alpha 90.00
_cell_angle_beta 108.19
_cell_angle_gamma 90.00
_symmetry_space_group_name_H-M 'C 1 m 1'
_symmetry_Int_Tables_number 8
loop_
_symmetry_equiv_pos_as_xyz
'x,y,z'
'x,-y,z'
'x+1/2,y+1/2,z'
'x+1/2,-y+1/2,z'
loop_
_atom_site_label
_atom_site_fract_x
_atom_site_fract_y
_atom_site_fract_z
Li1 0.0000 0.0000 0.0000
Li2 0.0008 0.5000 0.5065
Li3 0.1279 0.5000 0.8799
Mg1 0.3120 0.5000 0.4410
V1 0.0619 0.0000 0.6928
V2 0.0658 0.5000 0.1885
V3 0.1272 0.0000 0.3749
V4 0.3147 0.2574 0.6920
V5 0.3173 0.0000 0.9439
V6 0.3173 0.2499 0.1856
O1 0.1943 0.2641 0.3110
O2 0.1985 0.0000 0.5767
O3 0.1979 0.2237 0.8058
O4 0.2009 0.5000 0.0832
O5 0.2060 0.0000 0.0566
O6 0.2066 0.5000 0.5854
O7 0.4159 0.0000 0.8097
O8 0.4225 0.5000 0.8006
O9 0.4302 0.5000 0.3114
O10 0.4314 0.0000 0.2951
O11 0.4313 0.2673 0.5843
O12 0.4355 0.2214 0.0627
```

Main lines, low angle first (10° ≤ 2θ ≤ 90°):
h k l, d_spacing, I/Imax
0 0 2, 4.905, 100
2 2 0, 2.576, 47
4 0 -2, 2.534, 29
2 2 2, 2.140, 50
4 0 -4, 2.093, 23
2 2 4, 1.646, 18
6 2 -2, 1.498, 19
2 2 -6, 1.495, 19

# 4
Calculated XRD peak list of Li2Mg2WO6 for Cu Kα (λ = 1.5418 Å), from a cell relaxed with PBE+U.
Lines closer than 0.1° are merged.

```
data_Li2Mg2WO6
_chemical_formula_sum 'Li2 Mg2 W1 O6'
_cell_length_a 5.0029
_cell_length_b 5.0029
_cell_length_c 4.8384
_cell_angle_alpha 90.00
_cell_angle_beta 90.00
_cell_angle_gamma 120.00
_symmetry_space_group_name_H-M 'P -3 1 m'
_symmetry_Int_Tables_number 162
_symmetry_space_group_name_Hall '-P 3 2'
loop_
_atom_site_label
_atom_site_fract_x
_atom_site_fract_y
_atom_site_fract_z
Li1 0.3333 0.6667 0.0000
Mg1 0.3333 0.6667 0.5000
W1 0.0000 0.0000 0.0000
O1 0.0000 0.3227 0.2343
```

Main lines, low angle first (10° ≤ 2θ ≤ 90°):
h k l, d_spacing, I/Imax
0 0 1, 4.838, 24
1 0 0, 4.333, 59
1 0 1, 3.228, 100
1 1 0, 2.501, 23
2 -1 1, 2.222, 22
2 0 1, 1.977, 25
2 -1 2, 1.739, 34
3 -1 1, 1.551, 23